Diffraction record for Ba2Na2Ca. The X-ray diffraction stick pattern is simulated, not measured: it uses a PBE-relaxed structure and Cu Kα.
Lines closer than 0.1° are merged.

Structure:
```
data_Ba2Na2Ca
_cell_length_a 5.896
_cell_length_b 19.322
_cell_length_c 4.332
_cell_angle_alpha 90.00
_cell_angle_beta 90.00
_cell_angle_gamma 90.00
_space_group_name_H-M_alt 'C m m m'
_space_group_IT_number 65
_space_group_name_Hall '-C 2 2'
loop_
_atom_site_label
_atom_site_type_symbol
_atom_site_fract_x
_atom_site_fract_y
_atom_site_fract_z
_atom_site_occupancy
Ba1 Ba 0.000 0.112 0.000 1
Na1 Na 0.000 0.299 0.500 1
Ca1 Ca 0.000 0.500 0.500 1
```

Top 10 peaks for 2θ = 5–70°, by intensity:
d (Å)  2theta  I (rel.)
3.229  27.63  100
3.436  25.93  75
5.640  15.71  36
4.342  20.45  34
2.176  41.50  31
2.948  30.32  24
4.830  18.37  23
2.588  34.66  20
1.799  50.74  20
1.829  49.86  19

***

Diffraction record for TiZn2B2Rh5. The X-ray diffraction stick pattern is simulated, not measured: it uses a PBE-relaxed structure and Cu Kα.
Lines closer than 0.1° are merged.

Structure:
```
data_TiZn2B2Rh5
_cell_length_a 9.407
_cell_length_b 9.407
_cell_length_c 2.919
_cell_angle_alpha 90.00
_cell_angle_beta 90.00
_cell_angle_gamma 90.00
_space_group_name_H-M_alt 'P 4/m b m'
_space_group_IT_number 127
_space_group_name_Hall '-P 4 2ab'
loop_
_atom_site_label
_atom_site_type_symbol
_atom_site_fract_x
_atom_site_fract_y
_atom_site_fract_z
_atom_site_occupancy
Ti1 Ti 0.000 0.000 0.000 1
Zn1 Zn 0.177 0.323 0.000 1
B1 B 0.124 0.624 0.000 1
Rh1 Rh 0.000 0.500 0.500 1
Rh2 Rh 0.073 0.786 0.500 1
```

Top 10 peaks for 2θ = 5–70°, by intensity:
d (Å)  2theta  I (rel.)
2.083  43.43  100
2.282  39.50  95
2.398  37.50  64
1.945  46.69  48
2.103  43.00  44
2.609  34.37  31
2.919  30.63  31
2.194  41.15  27
1.460  63.77  19
2.217  40.69  18

***

Diffraction record for YTl2P2Pd7. The X-ray diffraction stick pattern is simulated, not measured: it uses a PBE-relaxed structure and Cu Kα.
Lines closer than 0.1° are merged.

Structure:
```
data_YTl2P2Pd7
_cell_length_a 5.780
_cell_length_b 5.778
_cell_length_c 13.776
_cell_angle_alpha 90.00
_cell_angle_beta 98.02
_cell_angle_gamma 90.00
_space_group_name_H-M_alt 'C 1 2/m 1'
_space_group_IT_number 12
loop_
_space_group_symop_operation_xyz
'x,y,z'
'-x,-y,-z'
'-x,y,-z'
'x,-y,z'
'x+1/2,y+1/2,z'
'-x+1/2,-y+1/2,-z'
'-x+1/2,y+1/2,-z'
'x+1/2,-y+1/2,z'
loop_
_atom_site_label
_atom_site_type_symbol
_atom_site_fract_x
_atom_site_fract_y
_atom_site_fract_z
_atom_site_occupancy
Y1 Y 0.000 0.000 0.000 1
Tl1 Tl 0.104 0.000 0.390 1
P1 P 0.081 0.500 0.246 1
Pd1 Pd 0.000 0.500 0.000 1
Pd2 Pd 0.111 0.500 0.415 1
Pd3 Pd 0.197 0.250 0.842 1
```

Top 10 peaks for 2θ = 5–70°, by intensity:
d (Å)  2theta  I (rel.)
2.517  35.67  100
2.439  36.86  94
2.590  34.63  88
2.728  32.83  81
2.041  44.39  67
2.827  31.66  59
3.410  26.13  46
1.444  64.51  44
1.983  45.75  44
2.660  33.69  42